Diffraction record for TbGa2Pt4. The powder diffractogram is theoretical, not measured: it uses a DFT-relaxed cell (GGA-PBE, Alexandria) and Cu Kα.
Kinematic intensities with the Lorentz-polarization factor, no thermal factor.

Top 8 peaks for 10 to 90 degrees two-theta, by angle:
two_theta	I/Imax
34.03	100
36.22	42
39.58	46
42.94	49
45.45	30
47.82	28
59.46	20
63.76	24

Structural model:
Unit cell a=7.842 b=7.842 c=3.991 alpha=90.00 beta=90.00 gamma=90.00
Element x y z (fractional)
Tb 0.000 0.000 0.000
Tb 0.500 0.500 0.500
Ga 0.224 0.224 0.500
Ga 0.276 0.724 0.000
Ga 0.724 0.276 0.000
Ga 0.776 0.776 0.500
Pt 0.078 0.671 0.500
Pt 0.171 0.422 0.000
Pt 0.329 0.922 0.500
Pt 0.422 0.171 0.000
Pt 0.578 0.829 0.000
Pt 0.671 0.078 0.500
Pt 0.829 0.578 0.000
Pt 0.922 0.329 0.500

Diffraction record for TbGa2Pt8. The powder diffractogram is theoretical, not measured: it uses a DFT-relaxed cell (GGA-PBE, Alexandria) and Cu Kα.
Kinematic intensities with the Lorentz-polarization factor, no thermal factor.

Top 8 peaks for 10 to 90 degrees two-theta, by angle:
two_theta	I/Imax
30.40	21
37.20	100
39.10	36
40.09	45
40.22	30
43.52	34
45.37	16
63.25	21

Structural model:
Unit cell a=6.986 b=6.986 c=4.581 alpha=101.69 beta=101.69 gamma=114.78
Element x y z (fractional)
Tb 0.000 0.000 0.000
Ga 0.315 0.685 0.500
Ga 0.685 0.315 0.500
Pt 0.079 0.321 0.620
Pt 0.237 0.763 0.000
Pt 0.321 0.079 0.620
Pt 0.404 0.404 0.187
Pt 0.596 0.596 0.813
Pt 0.679 0.921 0.380
Pt 0.763 0.237 0.000
Pt 0.921 0.679 0.380

Diffraction record for TbTh2Ga3Pt4. The powder diffractogram is theoretical, not measured: it uses a DFT-relaxed cell (GGA-PBE, Alexandria) and Cu Kα.
Kinematic intensities with the Lorentz-polarization factor, no thermal factor.

Top 8 peaks for 10 to 90 degrees two-theta, by angle:
two_theta	I/Imax
26.05	17
31.48	25
33.57	100
37.91	18
42.32	47
45.02	18
53.65	18
71.82	23

Structural model:
Unit cell a=4.272 b=4.272 c=11.417 alpha=90.00 beta=90.00 gamma=90.00
Element x y z (fractional)
Tb 0.000 0.000 0.000
Th 0.000 0.500 0.723
Th 0.500 0.000 0.277
Ga 0.000 0.500 0.378
Ga 0.500 0.000 0.622
Ga 0.500 0.500 0.000
Pt 0.000 0.000 0.500
Pt 0.000 0.500 0.160
Pt 0.500 0.000 0.840
Pt 0.500 0.500 0.500

Diffraction record for Tb2ZnGaPt6. The powder diffractogram is theoretical, not measured: it uses a DFT-relaxed cell (GGA-PBE, Alexandria) and Cu Kα.
Kinematic intensities with the Lorentz-polarization factor, no thermal factor.

Top 8 peaks for 10 to 90 degrees two-theta, by angle:
two_theta	I/Imax
11.28	39
19.83	22
22.66	63
37.92	64
38.02	32
39.60	38
40.30	100
42.71	30

Structural model:
Unit cell a=5.585 b=5.585 c=8.475 alpha=109.09 beta=109.09 gamma=60.12
Element x y z (fractional)
Tb 0.202 0.202 0.106
Tb 0.798 0.798 0.894
Zn 0.000 0.000 0.500
Ga 0.500 0.500 0.000
Pt 0.241 0.748 0.239
Pt 0.252 0.252 0.761
Pt 0.252 0.759 0.761
Pt 0.748 0.241 0.239
Pt 0.748 0.748 0.239
Pt 0.759 0.252 0.761